AgBH: calculated powder diffractogram (λ = 1.5418 Å (Cu Kα)), based on DFT lattice parameters and positions (PBE).
Kinematic intensities with the Lorentz-polarization factor, no thermal factor.

a b c (Å): 5.3333 5.8716 8.4180
angles (deg): 90.00 90.00 90.00
Space group Pnna (No. 52)
Asymmetric unit:
Ag  0.1404  0.2495  0.0735 x8
B  0.2340  0.6472  0.6795 x8
H  0.0630  0.2500  0.7500 x4
H  0.2500  0.0000  0.7056 x4

Most intense lines, 15° ≤ 2θ ≤ 90°, in order of rising 2θ:
| 2θ (°) | d (Å) | intensity | hkl |
| --- | --- | --- | --- |
| 19.71 | 4.505 | 33 | 1 0 1 |
| 21.11 | 4.209 | 64 | 0 0 2 |
| 24.91 | 3.574 | 48 | 1 1 1 |
| 30.45 | 2.936 | 94 | 0 2 0 |
| 36.17 | 2.483 | 69 | 1 0 3 |
| 37.03 | 2.428 | 100 | 2 1 0 |
| 37.35 | 2.408 | 36 | 0 2 2 |
| 39.40 | 2.287 | 70 | 1 1 3 |
| 43.01 | 2.103 | 51 | 2 1 2 |
| 47.98 | 1.896 | 57 | 1 2 3 |
| 63.99 | 1.455 | 29 | 3 1 3 |
| 78.80 | 1.215 | 27 | 2 1 6 |

=====

TlAgBH6: calculated powder diffractogram (λ = 1.5418 Å (Cu Kα)), based on DFT lattice parameters and positions (PBE).
Kinematic intensities with the Lorentz-polarization factor, no thermal factor.

a b c (Å): 4.3005 4.4915 6.1748
angles (deg): 104.88 102.97 102.98
Space group P1 (No. 1)
Asymmetric unit:
Tl  0.0000  0.0000  0.0000 x1
Ag  0.2626  0.7368  0.4931 x1
B  0.8188  0.3143  0.5524 x1
H  0.0793  0.2505  0.5338 x1
H  0.1214  0.5899  0.1868 x1
H  0.4070  0.8941  0.8030 x1
H  0.5948  0.0541  0.4219 x1
H  0.7322  0.5103  0.4595 x1
H  0.8201  0.3890  0.7562 x1

Most intense lines, 15° ≤ 2θ ≤ 90°, in order of rising 2θ:
| 2θ (°) | d (Å) | intensity | hkl |
| --- | --- | --- | --- |
| 21.46 | 4.141 | 66 | 0 1 0 |
| 22.08 | 4.026 | 72 | 0 1 -1 |
| 22.23 | 3.998 | 66 | 1 0 0 |
| 23.04 | 3.861 | 70 | 1 0 -1 |
| 30.23 | 2.957 | 66 | 1 -1 1 |
| 30.53 | 2.928 | 100 | -1 1 1 |
| 30.94 | 2.890 | 30 | 1 0 1 |
| 31.42 | 2.847 | 59 | 0 0 2 |
| 31.87 | 2.808 | 29 | 0 1 -2 |
| 35.58 | 2.523 | 42 | 1 1 0 |
| 37.40 | 2.405 | 37 | 1 1 -2 |
| 41.29 | 2.186 | 29 | 0 2 -1 |

=====

HoAg2BO4: calculated powder diffractogram (λ = 1.5418 Å (Cu Kα)), based on DFT lattice parameters and positions (PBE).
Kinematic intensities with the Lorentz-polarization factor, no thermal factor.

a b c (Å): 5.9611 5.9611 5.5100
angles (deg): 90.00 90.00 90.00
Space group I-42m (No. 121)
Asymmetric unit:
Ho  0.0000  0.0000  0.0000 x2
Ag  0.0000  0.5000  0.0000 x4
B  0.0000  0.0000  0.5000 x2
O  0.1455  0.1455  0.3395 x8

Most intense lines, 15° ≤ 2θ ≤ 90°, in order of rising 2θ:
| 2θ (°) | d (Å) | intensity | hkl |
| --- | --- | --- | --- |
| 21.97 | 4.046 | 50 | 1 0 1 |
| 29.98 | 2.981 | 100 | 2 0 0 |
| 32.50 | 2.755 | 38 | 0 0 2 |
| 37.48 | 2.400 | 42 | 2 1 1 |
| 42.91 | 2.108 | 41 | 2 2 0 |
| 44.80 | 2.023 | 74 | 2 0 2 |
| 48.72 | 1.869 | 12 | 3 0 1 |
| 54.84 | 1.674 | 39 | 2 2 2 |
| 70.67 | 1.333 | 19 | 4 2 0 |
| 72.05 | 1.311 | 19 | 4 0 2 |
| 76.12 | 1.250 | 15 | 2 0 4 |
| 79.96 | 1.200 | 25 | 4 2 2 |

=====

KAgB2Se4: calculated powder diffractogram (λ = 1.5418 Å (Cu Kα)), based on DFT lattice parameters and positions (PBE).
Kinematic intensities with the Lorentz-polarization factor, no thermal factor.

a b c (Å): 6.1359 8.9327 9.0095
angles (deg): 90.00 90.00 90.00
Space group I222 (No. 23)
Asymmetric unit:
K  0.0000  0.0000  0.0000 x2
Ag  0.0000  0.0000  0.5000 x2
B  0.0000  0.5000  0.1905 x4
Se  0.2202  0.3626  0.8038 x8

Most intense lines, 15° ≤ 2θ ≤ 90°, in order of rising 2θ:
| 2θ (°) | d (Å) | intensity | hkl |
| --- | --- | --- | --- |
| 17.53 | 5.060 | 10 | 1 1 0 |
| 26.55 | 3.357 | 100 | 1 2 1 |
| 28.13 | 3.172 | 9 | 0 2 2 |
| 35.42 | 2.534 | 28 | 2 0 2 |
| 39.01 | 2.309 | 8 | 1 2 3 |
| 42.77 | 2.114 | 8 | 0 3 3 |
| 43.36 | 2.087 | 9 | 2 1 3 |
| 44.01 | 2.058 | 12 | 1 1 4 |
| 45.33 | 2.001 | 11 | 0 4 2 |
| 50.07 | 1.822 | 10 | 3 2 1 |
| 50.55 | 1.806 | 11 | 2 4 0 |
| 58.43 | 1.580 | 8 | 3 3 2 |

=====

Mg2AgB: calculated powder diffractogram (λ = 1.5418 Å (Cu Kα)), based on DFT lattice parameters and positions (PBE).
Kinematic intensities with the Lorentz-polarization factor, no thermal factor.

a b c (Å): 9.0066 9.0066 4.4019
angles (deg): 90.00 90.00 90.00
Space group I4_1/amd (No. 141, origin choice 2)
Asymmetric unit:
Mg  0.0000  0.0000  0.0000 x8
Ag  0.0000  0.2500  0.3750 x4
B  0.0000  0.2500  0.8750 x4

Most intense lines, 15° ≤ 2θ ≤ 90°, in order of rising 2θ:
| 2θ (°) | d (Å) | intensity | hkl |
| --- | --- | --- | --- |
| 19.71 | 4.503 | 100 | 2 0 0 |
| 22.48 | 3.955 | 21 | 1 0 1 |
| 28.02 | 3.184 | 14 | 2 2 0 |
| 30.07 | 2.972 | 92 | 2 1 1 |
| 40.04 | 2.252 | 31 | 4 0 0 |
| 41.57 | 2.173 | 38 | 3 2 1 |
| 43.50 | 2.080 | 24 | 1 1 2 |
| 45.01 | 2.014 | 21 | 4 2 0 |
| 52.55 | 1.742 | 26 | 3 1 2 |
| 59.09 | 1.563 | 13 | 5 2 1 |
| 68.05 | 1.378 | 14 | 5 1 2 |
| 75.13 | 1.264 | 10 | 5 3 2 |

=====

Mg2AgBPd: calculated powder diffractogram (λ = 1.5418 Å (Cu Kα)), based on DFT lattice parameters and positions (PBE).
Kinematic intensities with the Lorentz-polarization factor, no thermal factor.

a b c (Å): 4.9869 4.9869 4.0310
angles (deg): 90.00 90.00 90.00
Space group P4/mmm (No. 123)
Asymmetric unit:
Mg  0.0000  0.5000  0.0000 x2
Ag  0.0000  0.0000  0.0000 x1
B  0.0000  0.0000  0.5000 x1
Pd  0.5000  0.5000  0.5000 x1

Most intense lines, 15° ≤ 2θ ≤ 90°, in order of rising 2θ:
| 2θ (°) | d (Å) | intensity | hkl |
| --- | --- | --- | --- |
| 25.26 | 3.526 | 48 | 1 1 0 |
| 28.47 | 3.135 | 100 | 1 0 1 |
| 36.02 | 2.493 | 46 | 2 0 0 |
| 44.98 | 2.016 | 12 | 0 0 2 |
| 46.54 | 1.951 | 51 | 2 1 1 |
| 51.86 | 1.763 | 16 | 2 2 0 |
| 52.28 | 1.750 | 12 | 1 1 2 |
| 58.92 | 1.567 | 21 | 2 0 2 |
| 60.22 | 1.537 | 12 | 3 0 1 |
| 71.03 | 1.327 | 12 | 2 2 2 |
| 72.21 | 1.308 | 13 | 3 2 1 |
| 83.44 | 1.158 | 9 | 4 1 1 |

=====

Na2AgBO4: calculated powder diffractogram (λ = 1.5418 Å (Cu Kα)), based on DFT lattice parameters and positions (PBE).
Kinematic intensities with the Lorentz-polarization factor, no thermal factor.

a b c (Å): 5.5527 5.5527 5.9400
angles (deg): 90.00 90.00 90.00
Space group I-4 (No. 82)
Asymmetric unit:
Na  0.0000  0.0000  0.0000 x2
Na  0.0000  0.5000  0.2500 x2
Ag  0.0000  0.0000  0.5000 x2
B  0.0000  0.5000  0.7500 x2
O  0.1465  0.6693  0.6113 x8

Most intense lines, 15° ≤ 2θ ≤ 90°, in order of rising 2θ:
| 2θ (°) | d (Å) | intensity | hkl |
| --- | --- | --- | --- |
| 21.91 | 4.056 | 100 | 1 0 1 |
| 22.65 | 3.926 | 37 | 1 1 0 |
| 30.09 | 2.970 | 18 | 0 0 2 |
| 32.24 | 2.776 | 46 | 2 0 0 |
| 37.99 | 2.369 | 84 | 1 1 2 |
| 39.33 | 2.291 | 46 | 2 1 1 |
| 44.68 | 2.028 | 18 | 2 0 2 |
| 46.24 | 1.963 | 25 | 2 2 0 |
| 48.83 | 1.865 | 13 | 1 0 3 |
| 52.09 | 1.756 | 20 | 3 1 0 |
| 61.33 | 1.512 | 38 | 3 1 2 |
| 72.14 | 1.309 | 14 | 2 0 4 |

=====

Nb2AgB: calculated powder diffractogram (λ = 1.5418 Å (Cu Kα)), based on DFT lattice parameters and positions (PBE).
Kinematic intensities with the Lorentz-polarization factor, no thermal factor.

a b c (Å): 6.8941 6.8941 5.3640
angles (deg): 90.00 90.00 90.00
Space group I-42d (No. 122)
Asymmetric unit:
Nb  0.1932  0.2500  0.1250 x8
Ag  0.0000  0.0000  0.5000 x4
B  0.0000  0.0000  0.0000 x4

Most intense lines, 15° ≤ 2θ ≤ 90°, in order of rising 2θ:
| 2θ (°) | d (Å) | intensity | hkl |
| --- | --- | --- | --- |
| 20.98 | 4.234 | 15 | 1 0 1 |
| 33.53 | 2.673 | 96 | 2 1 1 |
| 36.88 | 2.437 | 84 | 2 2 0 |
| 38.30 | 2.350 | 100 | 1 1 2 |
| 42.81 | 2.112 | 40 | 3 0 1 |
| 53.14 | 1.724 | 21 | 4 0 0 |
| 54.22 | 1.692 | 49 | 3 1 2 |
| 57.76 | 1.596 | 13 | 4 1 1 |
| 70.51 | 1.336 | 25 | 4 3 1 |
| 72.36 | 1.306 | 18 | 3 2 3 |
| 76.17 | 1.250 | 22 | 2 0 4 |
| 76.50 | 1.245 | 17 | 5 2 1 |